(1)
# LiAuS4O14
Computed powder diffractogram, Cu Kα (λ = 1.5418 Å). Input: the PBE geometry in OQMD.

Main lines, in order of falling intensity (5 to 70 degrees two-theta):
two_theta	I_rel
15.05	100
11.27	92
15.64	84
20.16	83
25.06	82
30.37	69
31.58	42
25.58	36
17.38	35
27.55	33

Cell and atoms:
Cell: 5.239 6.373 8.293 Å, 71.51 89.34 77.34°
Element x y z (fractional)
Li 0.000 0.000 0.000
Au 0.000 0.500 0.500
S 0.167 0.697 0.762
S 0.461 0.252 0.764
S 0.539 0.748 0.236
S 0.833 0.303 0.238
O 0.044 0.408 0.287
O 0.104 0.723 0.924
O 0.235 0.874 0.627
O 0.261 0.840 0.223
O 0.295 0.124 0.871
O 0.373 0.327 0.575
O 0.437 0.485 0.808
O 0.563 0.515 0.192
O 0.627 0.673 0.425
O 0.705 0.876 0.129
O 0.739 0.160 0.777
O 0.765 0.126 0.373
O 0.896 0.277 0.076
O 0.956 0.592 0.713

***

(2)
# CsCuCl3
Computed powder diffractogram, Cu Kα (λ = 1.5418 Å). Input: the PBE geometry in OQMD.

Main lines, in order of falling intensity (5 to 70 degrees two-theta):
two_theta	I_rel
32.16	100
24.66	75
20.32	62
41.32	35
32.63	32
53.73	23
29.24	17
40.94	17
48.71	17
50.56	15

Cell and atoms:
Cell: 7.222 7.222 18.324 Å, 90.00 90.00 120.00°
Element x y z (fractional)
Cs 0.293 0.646 0.417
Cs 0.354 0.646 0.083
Cs 0.354 0.707 0.750
Cs 0.646 0.293 0.250
Cs 0.646 0.354 0.583
Cs 0.707 0.354 0.917
Cu 0.000 0.062 0.667
Cu 0.000 0.938 0.167
Cu 0.062 0.000 0.000
Cu 0.062 0.062 0.833
Cu 0.938 0.000 0.500
Cu 0.938 0.938 0.333
Cl 0.112 0.224 0.250
Cl 0.112 0.888 0.583
Cl 0.153 0.363 0.594
Cl 0.153 0.791 0.240
Cl 0.209 0.363 0.906
Cl 0.209 0.847 0.927
Cl 0.224 0.112 0.417
Cl 0.363 0.153 0.073
Cl 0.363 0.209 0.760
Cl 0.637 0.791 0.260
Cl 0.637 0.847 0.573
Cl 0.776 0.888 0.917
Cl 0.791 0.153 0.427
Cl 0.791 0.637 0.406
Cl 0.847 0.209 0.740
Cl 0.847 0.637 0.094
Cl 0.888 0.112 0.083
Cl 0.888 0.776 0.750

***

(3)
# Nd2Co2SiGe
Computed powder diffractogram, Cu Kα (λ = 1.5418 Å). Input: the PBE geometry in OQMD.

Main lines, in order of falling intensity (5 to 70 degrees two-theta):
two_theta	I_rel
40.45	100
33.69	88
25.21	67
44.29	66
30.92	48
33.52	41
56.78	39
57.21	35
64.44	21
51.65	20

Cell and atoms:
Cell: 4.090 4.090 7.006 Å, 90.00 90.00 90.00°
Element x y z (fractional)
Nd 0.000 0.000 0.000
Nd 0.500 0.500 0.375
Co 0.000 0.500 0.694
Co 0.500 0.000 0.694
Si 0.500 0.500 0.859
Ge 0.000 0.000 0.507

***

(4)
# PdSe4S2Br2
Computed powder diffractogram, Cu Kα (λ = 1.5418 Å). Input: the PBE geometry in OQMD.

Main lines, in order of falling intensity (5 to 70 degrees two-theta):
two_theta	I_rel
21.41	100
27.90	83
31.00	60
13.19	58
19.02	40
49.13	39
12.79	38
37.22	35
32.99	35
40.31	25

Cell and atoms:
Cell: 4.726 7.761 8.279 Å, 63.65 82.76 81.89°
Element x y z (fractional)
Pd 0.000 0.000 0.000
Se 0.154 0.230 0.488
Se 0.167 0.732 0.274
Se 0.833 0.268 0.726
Se 0.846 0.770 0.512
S 0.026 0.512 0.743
S 0.974 0.488 0.257
Br 0.375 0.863 0.841
Br 0.625 0.137 0.159

***

(5)
# AlTlCu2Se4
Computed powder diffractogram, Cu Kα (λ = 1.5418 Å). Input: the PBE geometry in OQMD.

Main lines, in order of falling intensity (5 to 70 degrees two-theta):
two_theta	I_rel
26.66	100
44.17	48
52.51	28
44.36	24
52.16	15
17.14	14
35.60	13
27.68	12
21.76	11
34.67	10

Cell and atoms:
Cell: 7.114 7.114 7.114 Å, 132.10 132.10 70.08°
Element x y z (fractional)
Al 0.000 0.000 0.000
Tl 0.250 0.750 0.500
Cu 0.500 0.500 0.000
Cu 0.750 0.250 0.500
Se 0.112 0.613 0.954
Se 0.387 0.341 0.499
Se 0.659 0.158 0.046
Se 0.842 0.888 0.501

***

(6)
# Pm4Si2Ge5
Computed powder diffractogram, Cu Kα (λ = 1.5418 Å). Input: the PBE geometry in OQMD.

Main lines, in order of falling intensity (5 to 70 degrees two-theta):
two_theta	I_rel
33.01	100
33.20	96
32.67	90
42.13	42
24.99	28
45.35	27
44.14	24
44.57	23
25.66	21
25.42	20

Cell and atoms:
Cell: 7.010 4.290 8.135 Å, 90.00 91.72 90.00°
Element x y z (fractional)
Pm 0.231 0.000 0.369
Pm 0.246 0.000 0.885
Pm 0.754 0.000 0.115
Pm 0.769 0.000 0.631
Si 0.088 0.500 0.126
Si 0.912 0.500 0.874
Ge 0.123 0.500 0.625
Ge 0.442 0.500 0.156
Ge 0.500 0.500 0.500
Ge 0.558 0.500 0.844
Ge 0.877 0.500 0.375

***

(7)
# BaMgZnBi2
Computed powder diffractogram, Cu Kα (λ = 1.5418 Å). Input: the PBE geometry in OQMD.

Main lines, in order of falling intensity (5 to 70 degrees two-theta):
two_theta	I_rel
23.80	100
37.15	53
30.36	49
39.11	35
44.60	20
59.40	17
68.28	14
50.16	13
55.04	13
48.71	13

Cell and atoms:
Cell: 4.840 4.840 8.272 Å, 90.00 90.00 120.00°
Element x y z (fractional)
Ba 0.000 0.000 0.000
Mg 0.333 0.667 0.621
Zn 0.667 0.333 0.374
Bi 0.333 0.667 0.268
Bi 0.667 0.333 0.729

***

(8)
# Tm4Lu3Cu2Te2
Computed powder diffractogram, Cu Kα (λ = 1.5418 Å). Input: the PBE geometry in OQMD.

Main lines, in order of falling intensity (5 to 70 degrees two-theta):
two_theta	I_rel
34.26	100
33.46	74
30.19	66
34.61	55
28.86	40
58.38	35
51.97	33
46.35	31
30.98	23
36.54	22

Cell and atoms:
Cell: 9.147 9.147 9.147 Å, 155.27 68.18 117.61°
Element x y z (fractional)
Tm 0.132 0.000 0.132
Tm 0.205 0.849 0.356
Tm 0.493 0.849 0.644
Tm 0.868 0.000 0.868
Lu 0.520 0.205 0.315
Lu 0.584 0.584 0.000
Lu 0.890 0.205 0.685
Cu 0.278 0.513 0.765
Cu 0.748 0.513 0.235
Te 0.245 0.245 0.000
Te 0.849 0.349 0.500

***

(9)
# Gd2Dy3HoNiTe2
Computed powder diffractogram, Cu Kα (λ = 1.5418 Å). Input: the PBE geometry in OQMD.

Main lines, in order of falling intensity (5 to 70 degrees two-theta):
two_theta	I_rel
31.22	100
33.61	68
32.46	49
57.82	32
32.58	25
46.44	20
37.05	19
60.11	19
40.00	19
50.89	13

Cell and atoms:
Cell: 3.911 8.428 8.428 Å, 120.27 90.00 90.00°
Element x y z (fractional)
Gd 0.000 0.203 0.797
Gd 0.000 0.797 0.203
Dy 0.500 0.035 0.035
Dy 0.500 0.559 0.800
Dy 0.500 0.800 0.559
Ho 0.000 0.399 0.399
Ni 0.000 0.787 0.787
Te 0.500 0.133 0.463
Te 0.500 0.463 0.133

***

(10)
# NiPIr
Computed powder diffractogram, Cu Kα (λ = 1.5418 Å). Input: the PBE geometry in OQMD.

Main lines, in order of falling intensity (5 to 70 degrees two-theta):
two_theta	I_rel
31.41	100
53.34	87
27.11	87
45.01	61
35.23	26
55.91	20
38.72	14
60.84	13
47.90	7
67.83	6

Cell and atoms:
Cell: 5.697 5.697 5.697 Å, 90.00 90.00 90.00°
Element x y z (fractional)
Ni 0.104 0.104 0.104
Ni 0.396 0.896 0.604
Ni 0.604 0.396 0.896
Ni 0.896 0.604 0.396
P 0.112 0.388 0.612
P 0.388 0.612 0.112
P 0.612 0.112 0.388
P 0.888 0.888 0.888
Ir 0.017 0.517 0.983
Ir 0.483 0.483 0.483
Ir 0.517 0.983 0.017
Ir 0.983 0.017 0.517

***

(11)
# Ba3Ho2Cu2PtN10
Computed powder diffractogram, Cu Kα (λ = 1.5418 Å). Input: the PBE geometry in OQMD.

Main lines, in order of falling intensity (5 to 70 degrees two-theta):
two_theta	I_rel
31.54	100
26.76	83
31.83	82
27.24	53
31.36	35
34.70	34
17.33	31
40.85	29
44.42	28
47.80	28

Cell and atoms:
Cell: 7.012 7.012 8.062 Å, 104.48 104.48 47.27°
Element x y z (fractional)
Ba 0.000 0.000 0.000
Ba 0.141 0.141 0.509
Ba 0.859 0.859 0.491
Ho 0.335 0.335 0.180
Ho 0.665 0.665 0.820
Cu 0.416 0.416 0.779
Cu 0.584 0.584 0.221
Pt 0.500 0.500 0.500
N 0.178 0.405 0.860
N 0.257 0.712 0.275
N 0.288 0.743 0.725
N 0.331 0.331 0.450
N 0.405 0.178 0.860
N 0.595 0.822 0.140
N 0.669 0.669 0.550
N 0.712 0.257 0.275
N 0.743 0.288 0.725
N 0.822 0.595 0.140

***

(12)
# TbCu2TeSe2
Computed powder diffractogram, Cu Kα (λ = 1.5418 Å). Input: the PBE geometry in OQMD.

Main lines, in order of falling intensity (5 to 70 degrees two-theta):
two_theta	I_rel
25.32	100
29.33	96
43.41	94
12.36	76
37.78	64
44.30	54
13.68	44
8.55	41
27.55	40
34.16	38

Cell and atoms:
Cell: 10.720 10.720 7.288 Å, 100.46 100.46 21.99°
Element x y z (fractional)
Tb 0.141 0.141 0.014
Tb 0.859 0.859 0.986
Cu 0.206 0.206 0.414
Cu 0.450 0.450 0.832
Cu 0.550 0.550 0.168
Cu 0.794 0.794 0.586
Te 0.251 0.251 0.767
Te 0.749 0.749 0.233
Se 0.089 0.089 0.341
Se 0.433 0.433 0.164
Se 0.567 0.567 0.836
Se 0.911 0.911 0.659

***

Q: What is the formula in the second record?
A: CsCuCl3